[1]
The following is a simulated powder diffractogram of Ga2Os. It was derived from a cell relaxed with PBE, using λ = 1.5418 Å (Cu Kα).
Peak positions follow from Bragg's law for the DFT cell and can differ from measured ones.

Structural model:
Cell: 6.061 5.005 4.810 Å, 76.25 53.33 50.42°
Fractional coordinates of all 6 atoms:
Ga (0.043, 0.707, 0.043)
Ga (0.293, 0.957, 0.293)
Ga (0.707, 0.043, 0.707)
Ga (0.957, 0.293, 0.957)
Os (0.375, 0.375, 0.375)
Os (0.625, 0.625, 0.625)

Principal peaks in the range 2θ from 15° to 90°, by angle:
23.70 deg, intensity 41
29.52 deg, intensity 22
38.82 deg, intensity 100
41.06 deg, intensity 43
43.05 deg, intensity 75
49.00 deg, intensity 51
65.79 deg, intensity 21
68.67 deg, intensity 18
71.09 deg, intensity 17
76.07 deg, intensity 14
76.19 deg, intensity 14
79.76 deg, intensity 14

[2]
The following is a simulated powder diffractogram of Sc6Ga16Os7. It was derived from a cell relaxed with PBE, using λ = 1.5418 Å (Cu Kα).
Peak positions follow from Bragg's law for the DFT cell and can differ from measured ones.

Structural model:
Cell: 8.815 8.815 8.815 Å, 60.00 60.00 60.00°
Fractional coordinates of all 29 atoms:
Sc (0.217, 0.217, 0.783)
Sc (0.217, 0.783, 0.217)
Sc (0.217, 0.783, 0.783)
Sc (0.783, 0.217, 0.217)
Sc (0.783, 0.217, 0.783)
Sc (0.783, 0.783, 0.217)
Ga (0.134, 0.622, 0.622)
Ga (0.157, 0.157, 0.157)
Ga (0.157, 0.157, 0.528)
Ga (0.157, 0.528, 0.157)
Ga (0.378, 0.378, 0.378)
Ga (0.378, 0.378, 0.866)
Ga (0.378, 0.866, 0.378)
Ga (0.472, 0.843, 0.843)
Ga (0.528, 0.157, 0.157)
Ga (0.622, 0.134, 0.622)
Ga (0.622, 0.622, 0.134)
Ga (0.622, 0.622, 0.622)
Ga (0.843, 0.472, 0.843)
Ga (0.843, 0.843, 0.472)
Ga (0.843, 0.843, 0.843)
Ga (0.866, 0.378, 0.378)
Os (0.000, 0.000, 0.500)
Os (0.000, 0.500, 0.000)
Os (0.000, 0.500, 0.500)
Os (0.500, 0.000, 0.000)
Os (0.500, 0.000, 0.500)
Os (0.500, 0.500, 0.000)
Os (0.500, 0.500, 0.500)

Principal peaks in the range 2θ from 15° to 90°, by angle:
24.74 deg, intensity 45
28.64 deg, intensity 7
37.49 deg, intensity 10
40.95 deg, intensity 100
42.92 deg, intensity 12
48.44 deg, intensity 32
59.31 deg, intensity 12
65.25 deg, intensity 9
67.17 deg, intensity 7
74.59 deg, intensity 23
79.99 deg, intensity 12
88.80 deg, intensity 8

[3]
The following is a simulated powder diffractogram of TbGa3Os. It was derived from a cell relaxed with PBE, using λ = 1.5418 Å (Cu Kα).
Peak positions follow from Bragg's law for the DFT cell and can differ from measured ones.

Structural model:
Cell: 6.450 6.450 6.450 Å, 90.00 90.00 90.00°
Fractional coordinates of all 15 atoms:
Tb (0.000, 0.000, 0.500)
Tb (0.000, 0.500, 0.000)
Tb (0.500, 0.000, 0.000)
Ga (0.000, 0.000, 0.000)
Ga (0.290, 0.290, 0.290)
Ga (0.290, 0.290, 0.710)
Ga (0.290, 0.710, 0.290)
Ga (0.290, 0.710, 0.710)
Ga (0.710, 0.290, 0.290)
Ga (0.710, 0.290, 0.710)
Ga (0.710, 0.710, 0.290)
Ga (0.710, 0.710, 0.710)
Os (0.000, 0.500, 0.500)
Os (0.500, 0.000, 0.500)
Os (0.500, 0.500, 0.000)

Principal peaks in the range 2θ from 15° to 90°, by angle:
19.46 deg, intensity 13
27.66 deg, intensity 18
31.00 deg, intensity 5
34.05 deg, intensity 11
39.52 deg, intensity 100
44.42 deg, intensity 8
48.92 deg, intensity 8
57.12 deg, intensity 14
64.63 deg, intensity 14
68.20 deg, intensity 4
71.69 deg, intensity 26
85.09 deg, intensity 8